Li8VO5F: theoretical X-ray powder pattern (λ = 1.5418 Å (Cu Kα)), based on a cell relaxed with GGA+U.
No peak broadening, texture or thermal motion is included.

Peak list (10 most intense, 10 to 80 degrees two-theta, low angle first)
- hkl 0 0 2, d = 5.462 Å, intensity 271
- hkl 1 0 0, d = 4.893 Å, intensity 756
- hkl 1 0 2, d = 3.644 Å, intensity 1000
- hkl 1 1 0, d = 2.825 Å, intensity 517
- hkl 0 0 4, d = 2.733 Å, intensity 988
- hkl 2 0 2, d = 2.233 Å, intensity 301
- hkl 1 1 4, d = 1.963 Å, intensity 311
- hkl 3 0 0, d = 1.631 Å, intensity 488
- hkl 1 1 6, d = 1.531 Å, intensity 225
- hkl 3 0 4, d = 1.400 Å, intensity 270

Structural model:
```
data_Li8VO5F
_chemical_formula_sum 'Li16 V2 O10 F2'
_cell_length_a 5.6495
_cell_length_b 5.6495
_cell_length_c 10.9240
_cell_angle_alpha 90.00
_cell_angle_beta 90.00
_cell_angle_gamma 120.00
_space_group_name_H-M_alt 'P 63'
_space_group_IT_number 173
_space_group_name_Hall 'P 6c'
loop_
_atom_site_label
_atom_site_type_symbol
_atom_site_fract_x
_atom_site_fract_y
_atom_site_fract_z
Li1 Li 0.0163 0.6275 0.0000
Li2 Li 0.0266 0.3168 0.1507
Li3 Li 0.3333 0.6667 0.2945
Li4 Li 0.3333 0.6667 0.8078
V1 V 0.0000 0.0000 0.3669
O1 O 0.0000 0.0000 0.0541
O2 O 0.0015 0.6729 0.8263
O3 O 0.3333 0.6667 0.0897
F1 F 0.3333 0.6667 0.5827
```